For Pr3Se5, a cell relaxed with GGA-PBE gives the calculated powder XRD pattern in this record (λ = 1.5418 Å (Cu Kα)).
No peak broadening, texture or thermal motion is included.

Cell and atoms:
```
data_Pr3Se5
_chemical_formula_sum 'Pr6 Se10'
_cell_length_a 9.0492
_cell_length_b 9.0492
_cell_length_c 5.9897
_cell_angle_alpha 90.00
_cell_angle_beta 90.00
_cell_angle_gamma 120.00
_symmetry_space_group_name_H-M 'P 63/m c m'
_symmetry_Int_Tables_number 193
_symmetry_space_group_name_Hall '-P 6c 2'
loop_
_atom_site_label
_atom_site_type_symbol
_atom_site_fract_x
_atom_site_fract_y
_atom_site_fract_z
Pr1 Pr 0.0000 0.3660 0.2500
Se1 Se 0.0000 0.2806 0.7500
Se2 Se 0.3333 0.6667 0.0000
```

The 10 most intense peaks (10 to 90 degrees two-theta), sorted by position:
h k l  2θ/deg  I_rel
1 0 0  11.29  175
1 1 0  19.62  185
1 1 1  24.66  260
0 0 2  29.83  252
2 1 1  33.76  461
3 0 0  34.33  1000
1 1 2  35.96  790
3 0 2  46.11  259
2 2 2  50.56  237
3 0 4  72.80  249